Record 1
Theoretical XRD peak list
Compound: CaAc14Tb
Radiation: a wavelength of 1.5418 Å
Structure: a structure optimized by DFT (PBE)

Top 8 peaks for 15 to 90 degrees two-theta, by intensity:
| 2θ (°) | intensity | index |
| --- | --- | --- |
| 27.6 | 100.0 | 2 0 2 |
| 31.9 | 51.6 | 2 2 0 |
| 54.3 | 47.4 | 4 2 2 |
| 45.8 | 38.8 | 4 0 0 |
| 73.7 | 19.4 | 6 0 2 |
| 75.9 | 17.9 | 6 2 0 |
| 84.7 | 13.8 | 6 2 4 |
| 56.9 | 13.7 | 4 0 4 |

Structural model:
```
data_CaAc14Tb
_cell_length_a 7.927
_cell_length_b 7.927
_cell_length_c 11.202
_cell_angle_alpha 90.00
_cell_angle_beta 90.00
_cell_angle_gamma 90.00
_symmetry_space_group_name_H-M 'P 4/m m m'
_symmetry_Int_Tables_number 123
_symmetry_space_group_name_Hall '-P 4 2'
loop_
_atom_site_label
_atom_site_type_symbol
_atom_site_fract_x
_atom_site_fract_y
_atom_site_fract_z
Ca1 Ca 0.000 0.000 0.000
Ac1 Ac 0.000 0.000 0.500
Ac2 Ac 0.000 0.500 0.000
Ac3 Ac 0.000 0.500 0.500
Ac4 Ac 0.253 0.253 0.248
Ac5 Ac 0.500 0.500 0.500
Tb1 Tb 0.500 0.500 0.000
```

=====

Record 2
Theoretical XRD peak list
Compound: Cs2Tc2O5
Radiation: a wavelength of 1.5418 Å
Structure: a structure optimized by DFT (PBE)

Top 8 peaks for 15 to 90 degrees two-theta, by intensity:
| 2θ (°) | intensity | index |
| --- | --- | --- |
| 29.4 | 100.0 | 1 0 2 |
| 32.1 | 36.6 | 1 1 0 |
| 55.6 | 33.0 | 2 1 2 |
| 46.0 | 22.6 | 2 0 0 |
| 37.9 | 15.6 | 0 0 4 |
| 50.5 | 15.0 | 1 1 4 |
| 61.1 | 14.2 | 2 0 4 |
| 37.4 | 6.9 | 1 1 2 |

Structural model:
```
data_Cs2Tc2O5
_cell_length_a 3.943
_cell_length_b 3.943
_cell_length_c 9.502
_cell_angle_alpha 90.00
_cell_angle_beta 90.00
_cell_angle_gamma 90.00
_symmetry_space_group_name_H-M 'P 4/m m m'
_symmetry_Int_Tables_number 123
_symmetry_space_group_name_Hall '-P 4 2'
loop_
_atom_site_label
_atom_site_type_symbol
_atom_site_fract_x
_atom_site_fract_y
_atom_site_fract_z
Cs1 Cs 0.000 0.000 0.000
Cs2 Cs 0.000 0.000 0.500
Tc1 Tc 0.500 0.500 0.217
O1 O 0.000 0.500 0.239
O2 O 0.500 0.500 0.000
```

=====

Record 3
Theoretical XRD peak list
Compound: Ti4SnPb
Radiation: a wavelength of 1.5418 Å
Structure: a structure optimized by DFT (PBE)

Top 8 peaks for 15 to 90 degrees two-theta, by intensity:
| 2θ (°) | intensity | index |
| --- | --- | --- |
| 36.2 | 100.0 | 1 0 3 |
| 38.4 | 59.9 | 1 2 1 |
| 24.8 | 58.0 | 1 1 0 |
| 39.1 | 42.9 | 2 0 0 |
| 37.4 | 35.6 | 0 2 2 |
| 48.5 | 35.2 | 1 2 3 |
| 31.2 | 31.7 | 0 2 0 |
| 76.9 | 30.4 | 1 4 3 |

Structural model:
```
data_Ti4SnPb
_cell_length_a 4.605
_cell_length_b 5.727
_cell_length_c 8.837
_cell_angle_alpha 90.00
_cell_angle_beta 90.00
_cell_angle_gamma 90.00
_symmetry_space_group_name_H-M 'P m m n'
_symmetry_Int_Tables_number 59
loop_
_symmetry_equiv_pos_as_xyz
'x,y,z'
'-x,-y,-z'
'-x+1/2,-y+1/2,z'
'x+1/2,y+1/2,-z'
'x+1/2,-y,-z'
'-x+1/2,y,z'
'-x,y+1/2,-z'
'x,-y+1/2,z'
loop_
_atom_site_label
_atom_site_type_symbol
_atom_site_fract_x
_atom_site_fract_y
_atom_site_fract_z
Ti1 Ti 0.250 0.013 0.241
Ti2 Ti 0.250 0.750 0.616
Ti3 Ti 0.250 0.750 0.917
Sn1 Sn 0.250 0.250 0.916
Pb1 Pb 0.250 0.250 0.570
```

=====

Record 4
Theoretical XRD peak list
Compound: Cs2AuCl
Radiation: a wavelength of 1.5418 Å
Structure: a structure optimized by DFT (PBE)

Top 8 peaks for 15 to 90 degrees two-theta, by intensity:
| 2θ (°) | intensity | index |
| --- | --- | --- |
| 33.9 | 100.0 | 1 7 1 |
| 25.2 | 83.7 | 1 1 1 |
| 23.9 | 41.5 | 1 5 0 |
| 29.8 | 40.7 | 1 5 1 |
| 26.8 | 38.5 | 1 3 1 |
| 43.3 | 35.8 | 0 12 1 |
| 35.5 | 34.3 | 0 0 2 |
| 35.7 | 33.7 | 2 0 0 |

Structural model:
```
data_Cs2AuCl
_cell_length_a 5.031
_cell_length_b 27.556
_cell_length_c 5.063
_cell_angle_alpha 90.00
_cell_angle_beta 90.00
_cell_angle_gamma 90.00
_symmetry_space_group_name_H-M 'C m c m'
_symmetry_Int_Tables_number 63
_symmetry_space_group_name_Hall '-C 2c 2'
loop_
_atom_site_label
_atom_site_type_symbol
_atom_site_fract_x
_atom_site_fract_y
_atom_site_fract_z
Cs1 Cs 0.000 0.064 0.250
Cs2 Cs 0.000 0.316 0.250
Au1 Au 0.000 0.467 0.250
Cl1 Cl 0.000 0.190 0.250
```

=====

Record 5
Theoretical XRD peak list
Compound: BaAcRh2
Radiation: a wavelength of 1.5418 Å
Structure: a structure optimized by DFT (PBE)

Top 8 peaks for 15 to 90 degrees two-theta, by intensity:
| 2θ (°) | intensity | index |
| --- | --- | --- |
| 37.2 | 100.0 | 1 1 0 |
| 29.3 | 96.0 | 1 0 4 |
| 48.6 | 56.3 | 1 1 6 |
| 40.3 | 35.9 | 1 1 3 |
| 30.2 | 34.8 | 0 0 6 |
| 23.5 | 33.9 | 0 1 2 |
| 56.3 | 29.7 | 1 0 10 |
| 48.0 | 24.8 | 0 2 4 |

Structural model:
```
data_BaAcRh2
_cell_length_a 4.8384
_cell_length_b 4.8384
_cell_length_c 17.7314
_cell_angle_alpha 90.00
_cell_angle_beta 90.00
_cell_angle_gamma 120.00
_symmetry_space_group_name_H-M 'R -3 m'
_symmetry_Int_Tables_number 166
_symmetry_space_group_name_Hall '-R 3 2"'
loop_
_atom_site_label
_atom_site_type_symbol
_atom_site_fract_x
_atom_site_fract_y
_atom_site_fract_z
Ba1 Ba 0.0000 0.0000 0.0000
Ac1 Ac 0.0000 0.0000 0.5000
Rh1 Rh 0.0000 0.0000 0.1973
```

=====

Record 6
Theoretical XRD peak list
Compound: Ca7VN6
Radiation: a wavelength of 1.5418 Å
Structure: a structure optimized by DFT (PBE)

Top 8 peaks for 15 to 90 degrees two-theta, by intensity:
| 2θ (°) | intensity | index |
| --- | --- | --- |
| 32.0 | 100.0 | 2 0 4 |
| 35.5 | 42.4 | 2 2 2 |
| 32.1 | 36.3 | 4 0 0 |
| 35.9 | 34.6 | 4 1 1 |
| 30.2 | 21.4 | 1 2 1 |
| 36.1 | 20.5 | 1 2 3 |
| 43.0 | 20.0 | 3 2 3 |
| 38.0 | 19.2 | 3 2 1 |

Structural model:
```
data_Ca7VN6
_cell_length_a 11.140
_cell_length_b 6.329
_cell_length_c 12.928
_cell_angle_alpha 90.00
_cell_angle_beta 90.00
_cell_angle_gamma 90.00
_symmetry_space_group_name_H-M 'P b c n'
_symmetry_Int_Tables_number 60
_symmetry_space_group_name_Hall '-P 2n 2ab'
loop_
_atom_site_label
_atom_site_type_symbol
_atom_site_fract_x
_atom_site_fract_y
_atom_site_fract_z
Ca1 Ca 0.000 0.049 0.250
Ca2 Ca 0.036 0.229 0.519
Ca3 Ca 0.213 0.389 0.120
Ca4 Ca 0.232 0.341 0.872
V1 V 0.000 0.450 0.750
N1 N 0.064 0.382 0.352
N2 N 0.122 0.278 0.700
N3 N 0.163 0.088 0.995
```

=====

Record 7
Theoretical XRD peak list
Compound: BaAs2AuO8
Radiation: a wavelength of 1.5418 Å
Structure: a structure optimized by DFT (PBE)

Top 8 peaks for 15 to 90 degrees two-theta, by intensity:
| 2θ (°) | intensity | index |
| --- | --- | --- |
| 24.7 | 100.0 | 1 0 4 |
| 35.4 | 37.5 | 1 1 0 |
| 35.1 | 31.8 | 0 1 8 |
| 43.7 | 20.4 | 0 2 4 |
| 57.4 | 19.0 | 2 1 4 |
| 57.0 | 18.6 | 1 1 12 |
| 21.4 | 12.4 | 0 1 2 |
| 50.7 | 12.3 | 2 0 8 |

Structural model:
```
data_BaAs2AuO8
_cell_length_a 5.0707
_cell_length_b 5.0707
_cell_length_c 25.1504
_cell_angle_alpha 90.00
_cell_angle_beta 90.00
_cell_angle_gamma 120.00
_symmetry_space_group_name_H-M 'R 3 2'
_symmetry_Int_Tables_number 155
_symmetry_space_group_name_Hall 'R 3 2"'
loop_
_atom_site_label
_atom_site_type_symbol
_atom_site_fract_x
_atom_site_fract_y
_atom_site_fract_z
Ba1 Ba 0.0000 0.0000 0.0000
As1 As 0.0000 0.0000 0.2424
Au1 Au 0.0000 0.0000 0.5000
O1 O 0.0000 0.0000 0.3103
O2 O 0.0062 0.3561 0.1097
```

=====

Record 8
Theoretical XRD peak list
Compound: RbTaTlGeTeAs
Radiation: a wavelength of 1.5418 Å
Structure: a structure optimized by DFT (PBE)

Top 8 peaks for 15 to 90 degrees two-theta, by intensity:
| 2θ (°) | intensity | index |
| --- | --- | --- |
| 31.5 | 100.0 | 0 1 2 |
| 16.9 | 28.3 | 1 0 0 |
| 30.3 | 23.7 | 1 1 -1 |
| 23.5 | 23.5 | 1 0 -2 |
| 26.2 | 20.8 | 0 1 1 |
| 37.8 | 20.6 | 1 1 2 |
| 42.0 | 17.5 | 2 1 -1 |
| 33.7 | 17.4 | 2 0 -1 |

Structural model:
```
data_RbTaTlGeTeAs
_cell_length_a 5.346
_cell_length_b 3.670
_cell_length_c 9.127
_cell_angle_alpha 90.00
_cell_angle_beta 100.97
_cell_angle_gamma 90.00
_symmetry_space_group_name_H-M 'P 1 m 1'
_symmetry_Int_Tables_number 6
_symmetry_space_group_name_Hall 'P -2y'
loop_
_atom_site_label
_atom_site_type_symbol
_atom_site_fract_x
_atom_site_fract_y
_atom_site_fract_z
Rb1 Rb 0.000 0.000 0.000
Ta1 Ta 0.401 0.000 0.574
Tl1 Tl 0.575 0.500 0.264
Ge1 Ge 0.880 0.000 0.549
Te1 Te 0.438 0.500 0.807
As1 As 0.127 0.500 0.402
```

=====

What did the first record say?
Theoretical XRD peak list
Compound: CaAc14Tb
Radiation: a wavelength of 1.5418 Å
Structure: a structure optimized by DFT (PBE)

Top 8 peaks for 15 to 90 degrees two-theta, by intensity:
| 2θ (°) | intensity | index |
| --- | --- | --- |
| 27.6 | 100.0 | 2 0 2 |
| 31.9 | 51.6 | 2 2 0 |
| 54.3 | 47.4 | 4 2 2 |
| 45.8 | 38.8 | 4 0 0 |
| 73.7 | 19.4 | 6 0 2 |
| 75.9 | 17.9 | 6 2 0 |
| 84.7 | 13.8 | 6 2 4 |
| 56.9 | 13.7 | 4 0 4 |

Structural model:
```
data_CaAc14Tb
_cell_length_a 7.927
_cell_length_b 7.927
_cell_length_c 11.202
_cell_angle_alpha 90.00
_cell_angle_beta 90.00
_cell_angle_gamma 90.00
_symmetry_space_group_name_H-M 'P 4/m m m'
_symmetry_Int_Tables_number 123
_symmetry_space_group_name_Hall '-P 4 2'
loop_
_atom_site_label
_atom_site_type_symbol
_atom_site_fract_x
_atom_site_fract_y
_atom_site_fract_z
Ca1 Ca 0.000 0.000 0.000
Ac1 Ac 0.000 0.000 0.500
Ac2 Ac 0.000 0.500 0.000
Ac3 Ac 0.000 0.500 0.500
Ac4 Ac 0.253 0.253 0.248
Ac5 Ac 0.500 0.500 0.500
Tb1 Tb 0.500 0.500 0.000
```

=====

Please write out number 4 again, unchanged.
Theoretical XRD peak list
Compound: Cs2AuCl
Radiation: a wavelength of 1.5418 Å
Structure: a structure optimized by DFT (PBE)

Top 8 peaks for 15 to 90 degrees two-theta, by intensity:
| 2θ (°) | intensity | index |
| --- | --- | --- |
| 33.9 | 100.0 | 1 7 1 |
| 25.2 | 83.7 | 1 1 1 |
| 23.9 | 41.5 | 1 5 0 |
| 29.8 | 40.7 | 1 5 1 |
| 26.8 | 38.5 | 1 3 1 |
| 43.3 | 35.8 | 0 12 1 |
| 35.5 | 34.3 | 0 0 2 |
| 35.7 | 33.7 | 2 0 0 |

Structural model:
```
data_Cs2AuCl
_cell_length_a 5.031
_cell_length_b 27.556
_cell_length_c 5.063
_cell_angle_alpha 90.00
_cell_angle_beta 90.00
_cell_angle_gamma 90.00
_symmetry_space_group_name_H-M 'C m c m'
_symmetry_Int_Tables_number 63
_symmetry_space_group_name_Hall '-C 2c 2'
loop_
_atom_site_label
_atom_site_type_symbol
_atom_site_fract_x
_atom_site_fract_y
_atom_site_fract_z
Cs1 Cs 0.000 0.064 0.250
Cs2 Cs 0.000 0.316 0.250
Au1 Au 0.000 0.467 0.250
Cl1 Cl 0.000 0.190 0.250
```